1.
The following is a theoretical powder diffractogram of Be2CdP. It was derived from a DFT-relaxed cell (GGA-PBE, the Materials Project), using Cu Ka.

Peak list (9 most intense, 10 to 80 degrees two-theta, in order of rising 2θ)
| 2θ/deg | I_rel |
| --- | --- |
| 25.3 | 73 |
| 29.3 | 97 |
| 42.0 | 100 |
| 49.6 | 36 |
| 52.0 | 25 |
| 60.8 | 16 |
| 67.0 | 14 |
| 69.0 | 31 |
| 76.7 | 32 |

Cell and atoms:
a b c (Å): 4.3063 4.3063 4.3063
angles (deg): 60.00 60.00 60.00
Atoms (fractional coordinates):
Be (0.2500, 0.2500, 0.2500)
Be (0.7500, 0.7500, 0.7500)
Cd (0.0000, 0.0000, 0.0000)
P (0.5000, 0.5000, 0.5000)

=====

2.
The following is a theoretical powder diffractogram of LaCeBe26. It was derived from a DFT-relaxed cell (GGA-PBE, the Materials Project), using Cu Ka.

Peak list (10 most intense, 10 to 80 degrees two-theta, in order of rising 2θ)
| 2θ/deg | I_rel |
| --- | --- |
| 17.2 | 85 |
| 24.4 | 100 |
| 30.0 | 45 |
| 34.7 | 22 |
| 39.0 | 73 |
| 42.9 | 62 |
| 53.2 | 21 |
| 56.3 | 26 |
| 67.9 | 28 |
| 76.0 | 20 |

Cell and atoms:
a b c (Å): 7.3020 7.3020 7.3020
angles (deg): 60.00 60.00 60.00
Atoms (fractional coordinates):
La (0.0000, 0.0000, 0.0000)
Ce (0.5000, 0.5000, 0.5000)
Be (0.0399, 0.4638, 0.6857)
Be (0.0399, 0.6857, 0.8105)
Be (0.0399, 0.8105, 0.4638)
Be (0.1895, 0.3143, 0.9601)
Be (0.1895, 0.5362, 0.3143)
Be (0.1895, 0.9601, 0.5362)
Be (0.2500, 0.2500, 0.2500)
Be (0.3143, 0.1895, 0.5362)
Be (0.3143, 0.5362, 0.9601)
Be (0.3143, 0.9601, 0.1895)
Be (0.4638, 0.0399, 0.8105)
Be (0.4638, 0.6857, 0.0399)
Be (0.4638, 0.8105, 0.6857)
Be (0.5362, 0.1895, 0.9601)
Be (0.5362, 0.3143, 0.1895)
Be (0.5362, 0.9601, 0.3143)
Be (0.6857, 0.0399, 0.4638)
Be (0.6857, 0.4638, 0.8105)
Be (0.6857, 0.8105, 0.0399)
Be (0.7500, 0.7500, 0.7500)
Be (0.8105, 0.0399, 0.6857)
Be (0.8105, 0.4638, 0.0399)
Be (0.8105, 0.6857, 0.4638)
Be (0.9601, 0.1895, 0.3143)
Be (0.9601, 0.3143, 0.5362)
Be (0.9601, 0.5362, 0.1895)

=====

3.
The following is a theoretical powder diffractogram of CeBeO3. It was derived from a DFT-relaxed cell (GGA-PBE, the Materials Project), using Cu Ka.

Peak list (8 most intense, 10 to 80 degrees two-theta, in order of rising 2θ)
| 2θ/deg | I_rel |
| --- | --- |
| 24.7 | 99 |
| 35.3 | 100 |
| 43.5 | 72 |
| 50.7 | 38 |
| 57.2 | 43 |
| 63.3 | 38 |
| 74.5 | 22 |
| 79.9 | 21 |

Cell and atoms:
a b c (Å): 3.6004 3.6004 3.6004
angles (deg): 90.00 90.00 90.00
Atoms (fractional coordinates):
Ce (0.0000, 0.0000, 0.0000)
Be (0.5000, 0.5000, 0.5000)
O (0.0000, 0.5000, 0.5000)
O (0.5000, 0.0000, 0.5000)
O (0.5000, 0.5000, 0.0000)

=====

4.
The following is a theoretical powder diffractogram of Cs2BeCl4. It was derived from a DFT-relaxed cell (GGA-PBE, the Materials Project), using Cu Ka.

Peak list (10 most intense, 10 to 80 degrees two-theta, in order of rising 2θ)
| 2θ/deg | I_rel |
| --- | --- |
| 20.5 | 100 |
| 22.8 | 51 |
| 24.1 | 43 |
| 24.3 | 65 |
| 27.8 | 38 |
| 28.0 | 74 |
| 29.5 | 56 |
| 31.2 | 53 |
| 33.5 | 48 |
| 34.4 | 36 |

Cell and atoms:
a b c (Å): 9.8559 7.3266 12.8255
angles (deg): 90.00 90.00 90.00
Atoms (fractional coordinates):
Cs (0.0219, 0.2500, 0.1758)
Cs (0.1490, 0.7500, 0.3986)
Cs (0.3510, 0.2500, 0.8986)
Cs (0.4781, 0.7500, 0.6758)
Cs (0.5219, 0.2500, 0.3242)
Cs (0.6490, 0.7500, 0.1014)
Cs (0.8510, 0.2500, 0.6014)
Cs (0.9781, 0.7500, 0.8242)
Be (0.2428, 0.7500, 0.0808)
Be (0.2572, 0.2500, 0.5808)
Be (0.7428, 0.7500, 0.4192)
Be (0.7572, 0.2500, 0.9192)
Cl (0.0376, 0.7500, 0.0963)
Cl (0.1786, 0.0224, 0.6502)
Cl (0.1786, 0.4776, 0.6502)
Cl (0.1996, 0.2500, 0.4267)
Cl (0.3004, 0.7500, 0.9267)
Cl (0.3214, 0.5224, 0.1502)
Cl (0.3214, 0.9776, 0.1502)
Cl (0.4624, 0.2500, 0.5963)
Cl (0.5376, 0.7500, 0.4037)
Cl (0.6786, 0.0224, 0.8498)
Cl (0.6786, 0.4776, 0.8498)
Cl (0.6996, 0.2500, 0.0733)
Cl (0.8004, 0.7500, 0.5733)
Cl (0.8214, 0.5224, 0.3498)
Cl (0.8214, 0.9776, 0.3498)
Cl (0.9624, 0.2500, 0.9037)

=====

5.
The following is a theoretical powder diffractogram of BeClO. It was derived from a DFT-relaxed cell (GGA-PBE, the Materials Project), using Cu Ka.

Peak list (10 most intense, 10 to 80 degrees two-theta, in order of rising 2θ)
| 2θ/deg | I_rel |
| --- | --- |
| 19.5 | 53 |
| 26.0 | 100 |
| 39.4 | 82 |
| 39.9 | 23 |
| 42.3 | 50 |
| 46.4 | 13 |
| 52.9 | 23 |
| 54.5 | 20 |
| 69.3 | 16 |
| 75.4 | 19 |

Cell and atoms:
a b c (Å): 13.7749 13.7749 13.7749
angles (deg): 11.29 11.29 11.29
Atoms (fractional coordinates):
Be (0.1983, 0.1983, 0.1983)
Be (0.8017, 0.8017, 0.8017)
Cl (0.3795, 0.3795, 0.3795)
Cl (0.6205, 0.6205, 0.6205)
O (0.1347, 0.1347, 0.1347)
O (0.8653, 0.8653, 0.8653)

=====

6.
The following is a theoretical powder diffractogram of BeClO. It was derived from a DFT-relaxed cell (GGA-PBE, the Materials Project), using Cu Ka.

Peak list (10 most intense, 10 to 80 degrees two-theta, in order of rising 2θ)
| 2θ/deg | I_rel |
| --- | --- |
| 19.9 | 45 |
| 26.6 | 100 |
| 39.5 | 44 |
| 40.1 | 55 |
| 41.6 | 21 |
| 42.6 | 19 |
| 53.5 | 21 |
| 55.2 | 24 |
| 69.4 | 16 |
| 75.8 | 20 |

Cell and atoms:
a b c (Å): 13.4714 13.4714 13.4714
angles (deg): 11.54 11.54 11.54
Atoms (fractional coordinates):
Be (0.1343, 0.1343, 0.1343)
Be (0.8657, 0.8657, 0.8657)
Cl (0.3791, 0.3791, 0.3791)
Cl (0.6209, 0.6209, 0.6209)
O (0.1997, 0.1997, 0.1997)
O (0.8003, 0.8003, 0.8003)

=====

7.
The following is a theoretical powder diffractogram of Be2ReCl. It was derived from a DFT-relaxed cell (GGA-PBE, the Materials Project), using Cu Ka.

Peak list (8 most intense, 10 to 80 degrees two-theta, in order of rising 2θ)
| 2θ/deg | I_rel |
| --- | --- |
| 26.4 | 100 |
| 30.6 | 35 |
| 43.8 | 64 |
| 51.9 | 48 |
| 54.4 | 10 |
| 63.7 | 10 |
| 70.2 | 20 |
| 72.4 | 13 |

Cell and atoms:
a b c (Å): 4.1301 4.1301 4.1301
angles (deg): 60.00 60.00 60.00
Atoms (fractional coordinates):
Be (0.0000, 0.0000, 0.0000)
Be (0.2500, 0.2500, 0.2500)
Re (0.5000, 0.5000, 0.5000)
Cl (0.7500, 0.7500, 0.7500)

=====

8.
The following is a theoretical powder diffractogram of Be2Te7Cl6. It was derived from a DFT-relaxed cell (GGA-PBE, the Materials Project), using Cu Ka.

Peak list (10 most intense, 10 to 80 degrees two-theta, in order of rising 2θ)
| 2θ/deg | I_rel |
| --- | --- |
| 10.0 | 100 |
| 17.2 | 61 |
| 23.6 | 47 |
| 28.0 | 94 |
| 30.6 | 29 |
| 31.1 | 32 |
| 31.9 | 65 |
| 39.0 | 20 |
| 41.0 | 35 |
| 50.3 | 20 |

Cell and atoms:
a b c (Å): 5.5312 10.3319 16.8209
angles (deg): 90.00 90.00 90.00
Atoms (fractional coordinates):
Be (0.0000, 0.0000, 0.0807)
Be (0.0000, 0.0000, 0.9193)
Be (0.5000, 0.5000, 0.4193)
Be (0.5000, 0.5000, 0.5807)
Te (0.0000, 0.5000, 0.0000)
Te (0.0000, 0.5000, 0.2392)
Te (0.0000, 0.5000, 0.7608)
Te (0.1717, 0.1039, 0.3714)
Te (0.1717, 0.1039, 0.6286)
Te (0.3283, 0.6039, 0.1286)
Te (0.3283, 0.6039, 0.8714)
Te (0.5000, 0.0000, 0.2608)
Te (0.5000, 0.0000, 0.5000)
Te (0.5000, 0.0000, 0.7392)
Te (0.6717, 0.3961, 0.1286)
Te (0.6717, 0.3961, 0.8714)
Te (0.8283, 0.8961, 0.3714)
Te (0.8283, 0.8961, 0.6286)
Cl (0.1526, 0.1387, 0.1467)
Cl (0.1526, 0.1387, 0.8533)
Cl (0.2329, 0.9147, 0.0000)
Cl (0.2671, 0.4147, 0.5000)
Cl (0.3474, 0.6387, 0.3533)
Cl (0.3474, 0.6387, 0.6467)
Cl (0.6526, 0.3613, 0.3533)
Cl (0.6526, 0.3613, 0.6467)
Cl (0.7329, 0.5853, 0.5000)
Cl (0.7671, 0.0853, 0.0000)
Cl (0.8474, 0.8613, 0.1467)
Cl (0.8474, 0.8613, 0.8533)

=====

9.
The following is a theoretical powder diffractogram of BeCo. It was derived from a DFT-relaxed cell (GGA-PBE, the Materials Project), using Cu Ka.

Peak list (4 most intense, 10 to 80 degrees two-theta, in order of rising 2θ)
| 2θ/deg | I_rel |
| --- | --- |
| 34.6 | 100 |
| 49.7 | 99 |
| 62.0 | 22 |
| 73.0 | 14 |

Cell and atoms:
a b c (Å): 2.5919 2.5919 2.5919
angles (deg): 90.00 90.00 90.00
Atoms (fractional coordinates):
Be (0.0000, 0.0000, 0.0000)
Co (0.5000, 0.5000, 0.5000)

=====

10.
The following is a theoretical powder diffractogram of Be2Co. It was derived from a DFT-relaxed cell (GGA-PBE, the Materials Project), using Cu Ka.

Peak list (10 most intense, 10 to 80 degrees two-theta, in order of rising 2θ)
| 2θ/deg | I_rel |
| --- | --- |
| 16.6 | 100 |
| 33.6 | 17 |
| 42.0 | 37 |
| 47.4 | 11 |
| 48.7 | 41 |
| 50.5 | 11 |
| 51.4 | 9 |
| 59.3 | 6 |
| 60.5 | 12 |
| 72.5 | 6 |

Cell and atoms:
a b c (Å): 5.6675 5.4980 2.3401
angles (deg): 82.00 73.87 24.13
Atoms (fractional coordinates):
Be (0.1639, 0.1639, 0.8361)
Be (0.8361, 0.8361, 0.1639)
Co (0.5000, 0.5000, 0.5000)

=====

11.
The following is a theoretical powder diffractogram of BeGaCo2. It was derived from a DFT-relaxed cell (GGA-PBE, the Materials Project), using Cu Ka.

Peak list (8 most intense, 10 to 80 degrees two-theta, in order of rising 2θ)
| 2θ/deg | I_rel |
| --- | --- |
| 28.0 | 30 |
| 32.4 | 7 |
| 46.5 | 100 |
| 55.2 | 13 |
| 57.9 | 1 |
| 67.9 | 15 |
| 75.0 | 5 |
| 77.3 | 2 |

Cell and atoms:
a b c (Å): 3.9022 3.9022 3.9022
angles (deg): 60.00 60.00 60.00
Atoms (fractional coordinates):
Be (0.0000, 0.0000, 0.0000)
Ga (0.5000, 0.5000, 0.5000)
Co (0.2500, 0.2500, 0.2500)
Co (0.7500, 0.7500, 0.7500)